1.
Simulated powder X-ray diffraction pattern of TbYTlNi2 for Cu Kα (λ = 1.5418 Å), from a DFT-relaxed cell (GGA-PBE, OQMD).
Neutral-atom scattering factors, no anomalous dispersion.

Crystal structure
```
data_TbYTlNi2
_chemical_formula_sum 'Tb2 Y2 Tl2 Ni4'
_space_group_name_H-M_alt 'A m m 2'
_space_group_IT_number 38
_cell_length_a 3.6912
_cell_length_b 3.9040
_cell_length_c 14.4577
_cell_angle_alpha 90.00
_cell_angle_beta 90.00
_cell_angle_gamma 90.00
loop_
_space_group_symop_operation_xyz
'x,y,z'
'-x,-y,z'
'-x,y,z'
'x,-y,z'
'x,y+1/2,z+1/2'
'-x,-y+1/2,z+1/2'
'-x,y+1/2,z+1/2'
'x,-y+1/2,z+1/2'
loop_
_atom_site_label
_atom_site_fract_x
_atom_site_fract_y
_atom_site_fract_z
_atom_site_occupancy
Tb1 0.0000 0.0000 0.0000 1
Y1 0.0000 0.0000 0.2768 1
Tl1 0.5000 0.0000 0.6391 1
Ni1 0.5000 0.0000 0.4387 1
Ni2 0.5000 0.0000 0.8397 1
```

Main lines, low angle first (10° ≤ 2θ ≤ 90°):
| 2theta | I_rel |
| --- | --- |
| 29.44 | 43 |
| 34.00 | 100 |
| 34.74 | 66 |
| 38.75 | 38 |
| 46.52 | 21 |
| 49.38 | 18 |
| 59.35 | 28 |
| 64.47 | 17 |


2.
Simulated powder X-ray diffraction pattern of Tb4Y4Ni13 for Cu Kα (λ = 1.5418 Å), from a DFT-relaxed cell (GGA-PBE, OQMD).
Neutral-atom scattering factors, no anomalous dispersion.

Crystal structure
```
data_Tb4Y4Ni13
_chemical_formula_sum 'Tb8 Y8 Ni26'
_space_group_name_H-M_alt 'C m m m'
_space_group_IT_number 65
_space_group_name_Hall '-C 2 2'
_cell_length_a 11.8668
_cell_length_b 15.1767
_cell_length_c 4.6709
_cell_angle_alpha 90.00
_cell_angle_beta 90.00
_cell_angle_gamma 90.00
loop_
_atom_site_label
_atom_site_fract_x
_atom_site_fract_y
_atom_site_fract_z
_atom_site_occupancy
Tb1 0.0000 0.1981 0.0000 1
Tb2 0.2500 0.2500 0.0000 1
Y1 0.0000 0.3568 0.5000 1
Y2 0.1711 0.0000 0.5000 1
Ni1 0.0000 0.5000 0.0000 1
Ni2 0.1126 0.5000 0.5000 1
Ni3 0.1361 0.0774 0.0000 1
Ni4 0.1661 0.4179 0.0000 1
Ni5 0.2500 0.2500 0.5000 1
```

Main lines, low angle first (10° ≤ 2θ ≤ 90°):
| 2theta | I_rel |
| --- | --- |
| 19.01 | 65 |
| 27.05 | 59 |
| 32.40 | 100 |
| 38.55 | 98 |
| 38.70 | 36 |
| 40.56 | 41 |
| 43.29 | 57 |
| 51.22 | 54 |


3.
Simulated powder X-ray diffraction pattern of TbYNi2 for Cu Kα (λ = 1.5418 Å), from a DFT-relaxed cell (GGA-PBE, OQMD).
Neutral-atom scattering factors, no anomalous dispersion.

Crystal structure
```
data_TbYNi2
_chemical_formula_sum 'Tb2 Y2 Ni4'
_space_group_name_H-M_alt 'A m m 2'
_space_group_IT_number 38
_cell_length_a 4.2385
_cell_length_b 3.7047
_cell_length_c 10.1796
_cell_angle_alpha 90.00
_cell_angle_beta 90.00
_cell_angle_gamma 90.00
loop_
_space_group_symop_operation_xyz
'x,y,z'
'-x,-y,z'
'-x,y,z'
'x,-y,z'
'x,y+1/2,z+1/2'
'-x,-y+1/2,z+1/2'
'-x,y+1/2,z+1/2'
'x,-y+1/2,z+1/2'
loop_
_atom_site_label
_atom_site_fract_x
_atom_site_fract_y
_atom_site_fract_z
_atom_site_occupancy
Tb1 0.0000 0.0000 0.0000 1
Y1 0.5000 0.0000 0.2785 1
Ni1 0.0000 0.0000 0.7112 1
Ni2 0.5000 0.0000 0.5656 1
```

Main lines, low angle first (10° ≤ 2θ ≤ 90°):
| 2theta | I_rel |
| --- | --- |
| 27.38 | 26 |
| 33.31 | 100 |
| 35.27 | 24 |
| 35.89 | 38 |
| 41.38 | 21 |
| 41.93 | 55 |
| 42.66 | 28 |
| 56.94 | 20 |